The following is a simulated XRD peak list of Sr4ZnPd2. It was derived from DFT lattice parameters and positions (GGA-PBE), using Cu Kα, 1.54184 Å.

Structural model:
abc: 7.7876 7.7876 8.4417
angles: 105.22 105.22 73.54
Element x y z (fractional)
Sr1 0.0000 0.0000 0.0000
Sr2 0.0044 0.0044 0.5077
Sr3 0.0113 0.5337 0.1421
Sr4 0.0279 0.5517 0.6495
Sr5 0.5107 0.5107 0.0027
Sr6 0.5203 0.5203 0.5171
Sr7 0.5337 0.0113 0.1421
Sr8 0.5517 0.0279 0.6495
Zn1 0.2062 0.2062 0.8551
Zn2 0.2253 0.2253 0.3677
Pd1 0.3181 0.8408 0.7937
Pd2 0.7208 0.7208 0.8663
Pd3 0.7292 0.7292 0.3683
Pd4 0.8408 0.3181 0.7937

Principal peaks in the range 2θ from 10° to 80°, low angle first:
2theta  Rel. int.
29.48  100
29.60  94
30.33  48
36.06  50
36.56  74
36.87  77
38.63  61
42.85  46